Computed powder diffractogram of BaB4Pt6 for CuKα, from a structure optimized by DFT (GGA-PBE).
Neutral-atom scattering factors, no anomalous dispersion.

Atomic structure:
Cell: 6.2553 6.2553 5.3028 Å, 90.00 90.00 120.00°
Sites, in units of the cell vectors:
Ba 0.0000 0.0000 0.0000
B 0.3333 0.6667 0.0742
B 0.3333 0.6667 0.4275
B 0.6667 0.3333 0.5725
B 0.6667 0.3333 0.9258
Pt 0.0350 0.5175 0.7485
Pt 0.4825 0.5175 0.7485
Pt 0.4825 0.9650 0.7485
Pt 0.5175 0.0350 0.2515
Pt 0.5175 0.4825 0.2515
Pt 0.9650 0.4825 0.2515

Principal peaks in the range 2θ = 15–90°, sorted by position:
| 2theta | I (rel.) |
| --- | --- |
| 16.36 | 28 |
| 23.48 | 14 |
| 33.07 | 100 |
| 33.81 | 21 |
| 37.78 | 25 |
| 44.81 | 14 |
| 48.02 | 46 |
| 56.81 | 14 |
| 59.07 | 17 |
| 80.70 | 17 |



Computed powder diffractogram of PbSeO4 for CuKα, from a structure optimized by DFT (GGA-PBE).
Neutral-atom scattering factors, no anomalous dispersion.

Atomic structure:
Cell: 7.0677 7.5552 8.8962 Å, 90.00 126.99 90.00°
Sites, in units of the cell vectors:
Pb 0.1933 0.1472 0.2861
Pb 0.1933 0.3528 0.7861
Pb 0.8067 0.6472 0.2139
Pb 0.8067 0.8528 0.7139
Se 0.3129 0.6642 0.1959
Se 0.3129 0.8358 0.6959
Se 0.6871 0.1642 0.3041
Se 0.6871 0.3358 0.8041
O 0.1328 0.6584 0.6179
O 0.1328 0.8416 0.1179
O 0.1875 0.5056 0.2397
O 0.1875 0.9944 0.7397
O 0.3452 0.6077 0.0283
O 0.3452 0.8923 0.5283
O 0.4070 0.2086 0.1197
O 0.4070 0.2914 0.6197
O 0.5930 0.7086 0.3803
O 0.5930 0.7914 0.8803
O 0.6548 0.1077 0.4717
O 0.6548 0.3923 0.9717
O 0.8125 0.0056 0.2603
O 0.8125 0.4944 0.7603
O 0.8672 0.1584 0.8821
O 0.8672 0.3416 0.3821

Principal peaks in the range 2θ = 15–90°, sorted by position:
| 2theta | I (rel.) |
| --- | --- |
| 17.45 | 19 |
| 25.07 | 53 |
| 26.73 | 100 |
| 27.75 | 19 |
| 28.57 | 86 |
| 31.70 | 25 |
| 42.39 | 28 |
| 44.67 | 24 |
| 47.73 | 22 |
| 48.30 | 28 |



Computed powder diffractogram of CaAu2 for CuKα, from a structure optimized by DFT (GGA-PBE).
Neutral-atom scattering factors, no anomalous dispersion.

Atomic structure:
Cell: 5.9560 5.9560 5.9560 Å, 133.65 106.38 91.59°
Sites, in units of the cell vectors:
Ca 0.2894 0.0394 0.2500
Ca 0.7106 0.9606 0.7500
Au 0.1234 0.6619 0.4615
Au 0.2996 0.3381 0.9615
Au 0.7004 0.6619 0.0385
Au 0.8766 0.3381 0.5385

Principal peaks in the range 2θ = 15–90°, sorted by position:
| 2theta | I (rel.) |
| --- | --- |
| 21.77 | 59 |
| 24.95 | 74 |
| 33.10 | 30 |
| 33.35 | 78 |
| 37.74 | 100 |
| 38.40 | 51 |
| 39.40 | 27 |
| 45.77 | 66 |
| 46.34 | 30 |
| 48.16 | 26 |



Computed powder diffractogram of YMg for CuKα, from a structure optimized by DFT (GGA-PBE).
Neutral-atom scattering factors, no anomalous dispersion.

Atomic structure:
Cell: 6.6881 6.6881 7.8433 Å, 104.52 104.52 30.32°
Sites, in units of the cell vectors:
Y 0.0000 0.0000 0.0000
Y 0.2813 0.2813 0.0641
Y 0.6114 0.6114 0.7133
Mg 0.3368 0.3368 0.6600
Mg 0.6694 0.6694 0.3358
Mg 0.9430 0.9430 0.3906

Principal peaks in the range 2θ = 15–90°, sorted by position:
| 2theta | I (rel.) |
| --- | --- |
| 28.23 | 31 |
| 29.78 | 49 |
| 30.64 | 23 |
| 32.10 | 73 |
| 33.48 | 100 |
| 33.82 | 48 |
| 34.37 | 93 |
| 35.56 | 41 |
| 43.61 | 26 |
| 53.93 | 32 |



Computed powder diffractogram of Nd2EuSe4 for CuKα, from a structure optimized by DFT (GGA-PBE).
Neutral-atom scattering factors, no anomalous dispersion.

Atomic structure:
Cell: 7.7983 7.7983 7.7983 Å, 109.45 109.45 109.52°
Sites, in units of the cell vectors:
Nd 0.9999 0.1250 0.3749
Nd 0.3750 0.0001 0.1251
Nd 0.7501 0.6250 0.6251
Nd 0.8750 0.2499 0.8749
Eu 0.2500 0.7500 0.5000
Eu 0.5000 0.5000 0.0000
Se 0.1202 0.0203 0.7500
Se 0.1201 0.5203 0.7500
Se 0.2703 0.3701 0.2500
Se 0.4797 0.2297 0.5998
Se 0.6298 0.8799 0.4002
Se 0.6299 0.8798 0.9002
Se 0.7703 0.3702 0.2500
Se 0.9797 0.7297 0.0998

Principal peaks in the range 2θ = 15–90°, sorted by position:
| 2theta | I (rel.) |
| --- | --- |
| 24.21 | 28 |
| 31.42 | 100 |
| 37.37 | 65 |
| 45.02 | 25 |
| 47.35 | 16 |
| 49.60 | 11 |
| 51.77 | 19 |
| 63.71 | 31 |
| 67.40 | 14 |
| 77.97 | 20 |



Computed powder diffractogram of SrTaO3 for CuKα, from a structure optimized by DFT (GGA-PBE).
Neutral-atom scattering factors, no anomalous dispersion.

Atomic structure:
Cell: 4.0669 4.0669 4.0669 Å, 90.00 90.00 90.00°
Sites, in units of the cell vectors:
Sr 0.0000 0.0000 0.0000
Ta 0.5000 0.5000 0.5000
O 0.0000 0.5000 0.5000
O 0.5000 0.0000 0.5000
O 0.5000 0.5000 0.0000

Principal peaks in the range 2θ = 15–90°, sorted by position:
| 2theta | I (rel.) |
| --- | --- |
| 21.85 | 22 |
| 31.10 | 100 |
| 44.56 | 29 |
| 50.16 | 10 |
| 55.33 | 41 |
| 64.85 | 18 |
| 69.32 | 4 |
| 73.66 | 18 |
| 82.09 | 6 |
| 86.23 | 2 |